# 1
Structure and computed powder diffractogram of RbLi2Be2F7 (the PBE geometry in the Materials Project; Cu Kα X-rays).

Top 10 peaks for 10 to 90 degrees two-theta, in order of falling intensity:
| 2θ/deg | d/Å | intensity |
| --- | --- | --- |
| 28.70 | 3.111 | 1000 |
| 38.08 | 2.363 | 929 |
| 27.70 | 3.220 | 708 |
| 27.53 | 3.240 | 676 |
| 24.88 | 3.579 | 545 |
| 14.07 | 6.293 | 473 |
| 40.32 | 2.237 | 269 |
| 35.74 | 2.512 | 256 |
| 40.67 | 2.218 | 253 |
| 35.21 | 2.549 | 244 |

Cell and atoms:
Lattice parameters (Å, degrees): 12.586 5.025 10.196 90.00 90.19 90.00
Element x y z (fractional)
Rb (0.250, 0.233, 0.140)
Rb (0.250, 0.267, 0.640)
Rb (0.750, 0.733, 0.360)
Rb (0.750, 0.767, 0.860)
Li (0.001, 0.207, 0.348)
Li (0.001, 0.293, 0.848)
Li (0.499, 0.210, 0.350)
Li (0.499, 0.290, 0.850)
Li (0.501, 0.710, 0.150)
Li (0.501, 0.790, 0.650)
Li (0.999, 0.707, 0.152)
Li (0.999, 0.793, 0.652)
Be (0.132, 0.714, 0.403)
Be (0.132, 0.786, 0.903)
Be (0.366, 0.725, 0.399)
Be (0.366, 0.775, 0.899)
Be (0.634, 0.225, 0.101)
Be (0.634, 0.275, 0.601)
Be (0.868, 0.214, 0.097)
Be (0.868, 0.286, 0.597)
F (0.048, 0.644, 0.813)
F (0.048, 0.856, 0.313)
F (0.120, 0.697, 0.047)
F (0.120, 0.803, 0.547)
F (0.122, 0.092, 0.890)
F (0.122, 0.408, 0.390)
F (0.248, 0.700, 0.850)
F (0.248, 0.800, 0.350)
F (0.380, 0.080, 0.890)
F (0.380, 0.420, 0.390)
F (0.382, 0.676, 0.041)
F (0.382, 0.824, 0.541)
F (0.445, 0.630, 0.804)
F (0.445, 0.870, 0.304)
F (0.555, 0.130, 0.696)
F (0.555, 0.370, 0.196)
F (0.618, 0.176, 0.459)
F (0.618, 0.324, 0.959)
F (0.620, 0.580, 0.610)
F (0.620, 0.920, 0.110)
F (0.752, 0.200, 0.650)
F (0.752, 0.300, 0.150)
F (0.878, 0.592, 0.610)
F (0.878, 0.908, 0.110)
F (0.880, 0.197, 0.453)
F (0.880, 0.303, 0.953)
F (0.952, 0.144, 0.687)
F (0.952, 0.356, 0.187)

---

# 2
Structure and computed powder diffractogram of Li6ZrBeF12 (the PBE geometry in the Materials Project; Cu Kα X-rays).

Top 10 peaks for 10 to 90 degrees two-theta, in order of falling intensity:
| 2θ/deg | d/Å | intensity |
| --- | --- | --- |
| 21.04 | 4.222 | 1000 |
| 14.07 | 6.296 | 886 |
| 19.41 | 4.574 | 515 |
| 32.88 | 2.724 | 500 |
| 45.39 | 1.998 | 371 |
| 55.08 | 1.667 | 366 |
| 38.46 | 2.341 | 359 |
| 39.40 | 2.287 | 332 |
| 43.10 | 2.099 | 324 |
| 18.85 | 4.707 | 302 |

Cell and atoms:
Lattice parameters (Å, degrees): 10.533 10.533 10.533 143.02 143.02 53.29
Element x y z (fractional)
Li (0.000, 0.234, 0.234)
Li (0.000, 0.766, 0.766)
Li (0.103, 0.353, 0.750)
Li (0.234, 0.000, 0.734)
Li (0.234, 0.500, 0.234)
Li (0.353, 0.103, 0.250)
Li (0.500, 0.234, 0.734)
Li (0.500, 0.766, 0.266)
Li (0.647, 0.897, 0.750)
Li (0.766, 0.000, 0.266)
Li (0.766, 0.500, 0.766)
Li (0.897, 0.647, 0.250)
Zr (0.375, 0.625, 0.750)
Zr (0.625, 0.375, 0.250)
Be (0.125, 0.875, 0.250)
Be (0.875, 0.125, 0.750)
F (0.015, 0.075, 0.941)
F (0.044, 0.578, 0.466)
F (0.075, 0.015, 0.441)
F (0.075, 0.634, 0.059)
F (0.230, 0.709, 0.521)
F (0.291, 0.311, 0.521)
F (0.291, 0.770, 0.979)
F (0.311, 0.291, 0.021)
F (0.366, 0.925, 0.441)
F (0.388, 0.422, 0.966)
F (0.422, 0.388, 0.466)
F (0.422, 0.956, 0.034)
F (0.578, 0.044, 0.966)
F (0.578, 0.612, 0.534)
F (0.612, 0.578, 0.034)
F (0.634, 0.075, 0.559)
F (0.689, 0.709, 0.979)
F (0.709, 0.230, 0.021)
F (0.709, 0.689, 0.479)
F (0.770, 0.291, 0.479)
F (0.925, 0.366, 0.941)
F (0.925, 0.985, 0.559)
F (0.956, 0.422, 0.534)
F (0.985, 0.925, 0.059)